Simulated XRD peak list of CaSn3S7 for Cu Kα (λ = 1.5418 Å), from a GGA-PBE-relaxed structure.
Neutral-atom scattering factors, no anomalous dispersion.

Crystal structure
Cell lengths 6.7282, 13.4858, 6.5856 Å; angles 90.00, 90.00, 90.00 degrees
Space group Pmmn (No. 59, origin choice 2)
Asymmetric unit:
Ca 0.2500 0.2500 0.1161 [2 per cell]
Sn 0.2500 0.0193 0.6378 [4 per cell]
Sn 0.2500 0.7500 0.3995 [2 per cell]
S 0.0006 0.6240 0.5742 [8 per cell]
S 0.2500 0.0583 0.9828 [4 per cell]
S 0.2500 0.7500 0.0462 [2 per cell]

Largest 8 diffraction maxima, by angle, 5 to 70 degrees two-theta:
| 2θ (°) | intensity | hkl |
| --- | --- | --- |
| 13.4 | 58 | 0 0 1 |
| 23.0 | 100 | 1 2 1 |
| 23.8 | 36 | 1 3 0 |
| 26.5 | 44 | 2 0 0 |
| 33.1 | 36 | 1 2 2 |
| 37.8 | 48 | 2 4 0 |
| 40.3 | 22 | 2 4 1 |
| 44.7 | 29 | 3 2 1 |